Diffraction record for Y12Co5Bi. The powder XRD pattern is theoretical, not measured: it uses a structure optimized by DFT (GGA-PBE) and Cu Kα (weighted mean of Kα1 and Kα2).

Top 8 peaks for 2θ = 10–90°, sorted by position:
- 29.53°, intensity 20, hkl 0 3 1
- 29.78°, intensity 24, hkl 3 1 0
- 32.16°, intensity 100, hkl 2 2 2
- 34.34°, intensity 55, hkl 2 1 3
- 34.84°, intensity 53, hkl 1 3 2
- 35.24°, intensity 41, hkl 3 2 1
- 37.95°, intensity 22, hkl 4 0 0
- 59.76°, intensity 26, hkl 5 3 2

abc: 9.484 9.527 9.935
angles: 90.00 90.00 90.00
Space group Immm (No. 71)
Asymmetric unit:
Y: 0.000 0.195 0.205 x8
Y: 0.192 0.500 0.189 x8
Y: 0.210 0.316 0.500 x8
Co: 0.000 0.000 0.000 x2
Co: 0.000 0.381 0.000 x4
Co: 0.000 0.500 0.390 x4
Bi: 0.000 0.000 0.500 x2



Diffraction record for Ca3MoN3. The powder XRD pattern is theoretical, not measured: it uses a structure optimized by DFT (GGA-PBE) and Cu Kα (weighted mean of Kα1 and Kα2).

Top 8 peaks for 2θ = 10–90°, sorted by position:
- 13.59°, intensity 32, hkl 1 0 0
- 22.15°, intensity 54, hkl 1 0 1
- 27.38°, intensity 42, hkl 2 0 0
- 32.63°, intensity 100, hkl 2 0 1
- 35.23°, intensity 44, hkl 0 0 2
- 36.49°, intensity 19, hkl 2 1 0
- 40.70°, intensity 25, hkl 1 2 1
- 45.19°, intensity 19, hkl 2 0 2

abc: 7.5224 7.5224 5.0944
angles: 90.00 90.00 120.00
Space group P6_3/m (No. 176)
Asymmetric unit:
Ca: 0.1075 0.3485 0.2500 x6
Mo: 0.3333 0.6667 0.7500 x2
N: 0.1209 0.3915 0.7500 x6



Diffraction record for Pr2TmCd3. The powder XRD pattern is theoretical, not measured: it uses a structure optimized by DFT (GGA-PBE) and Cu Kα (weighted mean of Kα1 and Kα2).

Top 8 peaks for 2θ = 10–90°, sorted by position:
- 33.06°, intensity 100, hkl 1 0 4
- 33.18°, intensity 100, hkl 1 1 0
- 47.54°, intensity 36, hkl 0 2 4
- 58.97°, intensity 18, hkl 0 1 8
- 59.23°, intensity 55, hkl 3 0 0
- 69.66°, intensity 11, hkl 2 2 0
- 79.09°, intensity 15, hkl 1 2 8
- 79.29°, intensity 16, hkl 1 3 4

abc: 5.3994 5.3994 13.2988
angles: 90.00 90.00 120.00
Space group P-3m1 (No. 164)
Asymmetric unit:
Pr: 0.0000 0.0000 0.0000 x1
Pr: 0.0000 0.0000 0.5000 x1
Pr: 0.3333 0.6667 0.1720 x2
Tm: 0.3333 0.6667 0.6668 x2
Cd: 0.0000 0.0000 0.2554 x2
Cd: 0.3333 0.6667 0.4192 x2
Cd: 0.3333 0.6667 0.9125 x2



Diffraction record for V5Ge2H. The powder XRD pattern is theoretical, not measured: it uses a structure optimized by DFT (GGA-PBE) and Cu Kα (weighted mean of Kα1 and Kα2).

Top 8 peaks for 2θ = 10–90°, sorted by position:
- 23.15°, intensity 48, hkl 1 1 0
- 24.85°, intensity 19, hkl 1 1 1
- 29.31°, intensity 19, hkl 0 4 0
- 39.10°, intensity 16, hkl 0 2 4
- 43.33°, intensity 100, hkl 1 5 0
- 44.79°, intensity 27, hkl 2 0 0
- 47.16°, intensity 19, hkl 0 4 4
- 48.44°, intensity 26, hkl 1 3 4

abc: 4.047 12.192 9.952
angles: 90.00 90.00 90.00
Space group Cmcm (No. 63)
Asymmetric unit:
V: 0.000 0.095 0.125 x8
V: 0.000 0.297 0.750 x4
V: 0.000 0.306 0.501 x8
Ge: 0.000 0.111 0.626 x8
H: 0.000 0.204 0.250 x4



Diffraction record for TbPr2Tl. The powder XRD pattern is theoretical, not measured: it uses a structure optimized by DFT (GGA-PBE) and Cu Kα (weighted mean of Kα1 and Kα2).

Top 8 peaks for 2θ = 10–90°, sorted by position:
- 29.55°, intensity 95, hkl 0 2 2
- 29.80°, intensity 33, hkl 2 1 1
- 32.27°, intensity 37, hkl 0 3 1
- 32.93°, intensity 100, hkl 2 2 0
- 33.78°, intensity 81, hkl 2 0 2
- 33.97°, intensity 42, hkl 0 1 3
- 52.58°, intensity 44, hkl 2 3 3
- 64.48°, intensity 26, hkl 0 3 5

abc: 6.905 8.830 8.297
angles: 90.00 90.00 90.00
Space group Imma (No. 74)
Asymmetric unit:
Tb: 0.000 0.250 0.067 x4
Pr: 0.250 0.048 0.750 x8
Tl: 0.000 0.250 0.449 x4



Diffraction record for Hf3Si6Ni20. The powder XRD pattern is theoretical, not measured: it uses a structure optimized by DFT (GGA-PBE) and Cu Kα (weighted mean of Kα1 and Kα2).

Top 8 peaks for 2θ = 10–90°, sorted by position:
- 22.33°, intensity 21, hkl 2 2 0
- 35.65°, intensity 25, hkl 4 2 0
- 39.18°, intensity 66, hkl 4 2 2
- 41.67°, intensity 100, hkl 3 3 3
- 45.56°, intensity 57, hkl 4 4 0
- 54.01°, intensity 17, hkl 6 2 2
- 71.01°, intensity 37, hkl 6 6 0
- 84.23°, intensity 27, hkl 8 4 4

abc: 11.263 11.263 11.263
angles: 90.00 90.00 90.00
Space group Fm-3m (No. 225)
Asymmetric unit:
Hf: 0.000 0.000 0.000 x4
Hf: 0.250 0.250 0.250 x8
Si: 0.000 0.000 0.267 x24
Ni: 0.000 0.176 0.176 x48
Ni: 0.119 0.119 0.381 x32



Diffraction record for PrCd4Pd4. The powder XRD pattern is theoretical, not measured: it uses a structure optimized by DFT (GGA-PBE) and Cu Kα (weighted mean of Kα1 and Kα2).

Top 8 peaks for 2θ = 10–90°, sorted by position:
- 32.12°, intensity 18, hkl 1 0 3
- 32.86°, intensity 91, hkl 2 1 1
- 40.00°, intensity 41, hkl 2 2 0
- 40.61°, intensity 100, hkl 2 0 3
- 41.36°, intensity 22, hkl 1 0 4
- 57.85°, intensity 25, hkl 4 0 0
- 73.06°, intensity 28, hkl 4 2 3
- 86.37°, intensity 15, hkl 4 4 0

abc: 6.376 6.376 9.294
angles: 90.00 90.00 90.00
Space group P4_2/nmc (No. 137, origin choice 2)
Asymmetric unit:
Pr: 0.250 0.750 0.250 x2
Cd: 0.023 0.250 0.166 x8
Pd: 0.021 0.250 0.470 x8



Diffraction record for CsBaAsS2. The powder XRD pattern is theoretical, not measured: it uses a structure optimized by DFT (GGA-PBE) and Cu Kα (weighted mean of Kα1 and Kα2).

Top 8 peaks for 2θ = 10–90°, sorted by position:
- 10.92°, intensity 50, hkl 1 0 0
- 21.94°, intensity 100, hkl 2 0 0
- 23.60°, intensity 87, hkl 1 1 1
- 26.68°, intensity 47, hkl 2 0 -2
- 27.02°, intensity 97, hkl 1 1 -2
- 30.39°, intensity 85, hkl 1 1 2
- 35.86°, intensity 70, hkl 1 2 0
- 39.26°, intensity 44, hkl 3 1 -2

abc: 8.288 5.266 8.935
angles: 90.00 102.15 90.00
Space group P2/c (No. 13)
Asymmetric unit:
Cs: 0.000 0.192 0.250 x2
Ba: 0.500 0.492 0.750 x2
As: 0.500 0.000 0.000 x2
S: 0.264 0.301 0.957 x4



Diffraction record for LaCe2Te5. The powder XRD pattern is theoretical, not measured: it uses a structure optimized by DFT (GGA-PBE) and Cu Kα (weighted mean of Kα1 and Kα2).

Top 8 peaks for 2θ = 10–90°, sorted by position:
- 22.93°, intensity 34, hkl 1 1 1
- 26.30°, intensity 31, hkl 2 1 0
- 28.40°, intensity 100, hkl 2 0 1
- 31.83°, intensity 39, hkl 0 0 2
- 33.44°, intensity 57, hkl 2 2 0
- 41.74°, intensity 18, hkl 2 1 2
- 46.84°, intensity 44, hkl 2 2 2
- 58.77°, intensity 18, hkl 4 0 2

abc: 7.579 7.579 5.623
angles: 90.00 90.00 90.00
Space group P4/mmm (No. 123)
Asymmetric unit:
La: 0.000 0.000 0.000 x1
Ce: 0.000 0.500 0.500 x2
Te: 0.000 0.000 0.500 x1
Te: 0.286 0.286 0.000 x4



Diffraction record for ErU4Ga15. The powder XRD pattern is theoretical, not measured: it uses a structure optimized by DFT (GGA-PBE) and Cu Kα (weighted mean of Kα1 and Kα2).

Top 8 peaks for 2θ = 10–90°, sorted by position:
- 21.17°, intensity 53, hkl 1 0 0
- 30.35°, intensity 57, hkl 1 1 1
- 35.57°, intensity 90, hkl 1 1 5
- 37.47°, intensity 31, hkl 0 0 10
- 40.19°, intensity 100, hkl 1 1 7
- 43.12°, intensity 84, hkl 2 0 0
- 58.42°, intensity 34, hkl 2 0 10
- 77.06°, intensity 30, hkl 3 1 7

abc: 4.196 4.196 24.005
angles: 90.00 90.00 90.00
Space group P4/mmm (No. 123)
Asymmetric unit:
Er: 0.000 0.000 0.000 x1
U: 0.000 0.000 0.125 x2
U: 0.000 0.000 0.302 x2
Ga: 0.000 0.500 0.212 x4
Ga: 0.000 0.500 0.393 x4
Ga: 0.000 0.500 0.500 x2
Ga: 0.500 0.500 0.000 x1
Ga: 0.500 0.500 0.118 x2
Ga: 0.500 0.500 0.301 x2



Diffraction record for YTm2Cu9. The powder XRD pattern is theoretical, not measured: it uses a structure optimized by DFT (GGA-PBE) and Cu Kα (weighted mean of Kα1 and Kα2).

Top 8 peaks for 2θ = 10–90°, sorted by position:
- 33.77°, intensity 66, hkl 1 0 5
- 34.91°, intensity 51, hkl 1 1 0
- 40.92°, intensity 32, hkl 2 0 1
- 41.37°, intensity 100, hkl 1 1 4
- 43.37°, intensity 28, hkl 1 0 7
- 43.85°, intensity 52, hkl 0 0 8
- 67.02°, intensity 22, hkl 3 0 4
- 73.74°, intensity 24, hkl 2 2 0

abc: 5.1396 5.1396 16.5355
angles: 90.00 90.00 120.00
Space group P6_3/mmc (No. 194)
Asymmetric unit:
Y: 0.3333 0.6667 0.2500 x2
Tm: 0.3333 0.6667 0.0391 x4
Cu: 0.0000 0.0000 0.0000 x2
Cu: 0.0000 0.0000 0.2500 x2
Cu: 0.1675 0.3349 0.6258 x12
Cu: 0.3333 0.6667 0.7500 x2



Diffraction record for Sm2VFe16N2. The powder XRD pattern is theoretical, not measured: it uses a structure optimized by DFT (GGA-PBE) and Cu Kα (weighted mean of Kα1 and Kα2).

Top 8 peaks for 2θ = 10–90°, sorted by position:
- 36.03°, intensity 38, hkl 1 3 1
- 37.45°, intensity 42, hkl 4 0 0
- 41.53°, intensity 69, hkl 2 2 2
- 41.82°, intensity 24, hkl 0 0 3
- 41.99°, intensity 54, hkl 0 4 0
- 42.25°, intensity 100, hkl 3 3 0
- 43.43°, intensity 47, hkl 4 0 -2
- 61.11°, intensity 23, hkl 0 2 4

abc: 9.722 8.603 6.552
angles: 90.00 98.50 90.00
Space group Cm (No. 8)
Asymmetric unit:
Sm: 0.000 0.000 0.000 x2
Sm: 0.191 0.500 0.307 x2
V: 0.256 0.000 0.744 x2
Fe: 0.006 0.000 0.507 x2
Fe: 0.098 0.249 0.650 x4
Fe: 0.191 0.500 0.793 x2
Fe: 0.209 0.143 0.366 x4
Fe: 0.249 0.243 0.990 x4
Fe: 0.349 0.292 0.651 x4
Fe: 0.350 0.000 0.152 x2
Fe: 0.440 0.000 0.560 x2
Fe: 0.449 0.245 0.313 x4
Fe: 0.491 0.143 0.932 x4
N: 0.098 0.250 0.151 x4